[1]
Computed powder diffractogram
Compound: NdHoCI
Radiation: a wavelength of 1.5418 Å
Structure: a cell relaxed with PBE
Neutral-atom scattering factors, no anomalous dispersion.

Main lines, in order of rising 2θ (10° ≤ 2θ ≤ 90°):
(hkl), two_theta, I_rel
1 0 1, 27.30, 27.3
0 1 2, 28.15, 21.5
1 0 4, 31.32, 100.0
0 1 5, 33.52, 67.8
0 0 9, 35.46, 29.5
1 1 0, 47.73, 42.2
0 2 4, 58.20, 16.8
1 0 13, 59.74, 15.2
1 1 9, 60.84, 37.2
2 1 4, 78.48, 14.1

Crystal structure
Cell lengths 3.8113, 3.8113, 22.7852 Å; angles 90.00, 90.00, 120.00 degrees
Space group R3m (No. 160, hexagonal axes)
Inequivalent atoms, fractional coordinates:
Nd (0.0000, 0.0000, 0.0000)
Ho (0.0000, 0.0000, 0.5529)
C (0.0000, 0.0000, 0.2704)
I (0.0000, 0.0000, 0.7802)



[2]
Computed powder diffractogram
Compound: Pr2Ho2CI5
Radiation: a wavelength of 1.5418 Å
Structure: a cell relaxed with PBE
Neutral-atom scattering factors, no anomalous dispersion.

Main lines, in order of rising 2θ (10° ≤ 2θ ≤ 90°):
(hkl), two_theta, I_rel
0 0 1, 10.18, 38.5
6 0 0, 28.30, 36.3
3 1 1, 29.22, 17.4
1 1 -2, 29.81, 100.0
4 0 2, 30.81, 12.5
5 1 0, 32.36, 38.0
2 0 -4, 40.54, 16.0
5 1 2, 41.37, 23.1
7 1 -2, 41.77, 22.9
0 2 0, 44.70, 19.7

Crystal structure
Cell lengths 19.378, 4.055, 8.902 Å; angles 90.00, 102.49, 90.00 degrees
Space group C2/m (No. 12)
Inequivalent atoms, fractional coordinates:
Pr (0.001, 0.000, 0.304)
Ho (0.127, 0.500, 0.563)
C (0.000, 0.500, 0.500)
I (0.000, 0.500, 0.000)
I (0.167, 0.000, 0.826)
I (0.172, 0.000, 0.341)



[3]
Computed powder diffractogram
Compound: TbHoC2I2
Radiation: a wavelength of 1.5418 Å
Structure: a cell relaxed with PBE
Neutral-atom scattering factors, no anomalous dispersion.

Main lines, in order of rising 2θ (10° ≤ 2θ ≤ 90°):
(hkl), two_theta, I_rel
0 0 2, 15.78, 22.3
1 1 0, 25.91, 50.9
2 0 -2, 28.34, 77.0
1 1 -2, 30.09, 42.0
1 1 2, 30.86, 100.0
1 1 3, 35.94, 30.1
1 1 -4, 40.92, 28.8
3 1 0, 43.83, 44.5
0 2 0, 46.61, 21.9
2 2 -2, 55.45, 23.3

Crystal structure
Cell lengths 7.320, 3.897, 11.254 Å; angles 90.00, 93.38, 90.00 degrees
Space group Cm (No. 8)
Inequivalent atoms, fractional coordinates:
Tb (0.000, 0.000, 0.000)
Ho (0.291, 0.000, 0.244)
C (0.067, 0.500, 0.152)
C (0.223, 0.500, 0.096)
I (0.321, 0.000, 0.812)
I (0.469, 0.500, 0.430)



What is the formula in the third record? TbHoC2I2



Copy entry 1 word for word.
Computed powder diffractogram
Compound: NdHoCI
Radiation: a wavelength of 1.5418 Å
Structure: a cell relaxed with PBE
Neutral-atom scattering factors, no anomalous dispersion.

Main lines, in order of rising 2θ (10° ≤ 2θ ≤ 90°):
(hkl), two_theta, I_rel
1 0 1, 27.30, 27.3
0 1 2, 28.15, 21.5
1 0 4, 31.32, 100.0
0 1 5, 33.52, 67.8
0 0 9, 35.46, 29.5
1 1 0, 47.73, 42.2
0 2 4, 58.20, 16.8
1 0 13, 59.74, 15.2
1 1 9, 60.84, 37.2
2 1 4, 78.48, 14.1

Crystal structure
Cell lengths 3.8113, 3.8113, 22.7852 Å; angles 90.00, 90.00, 120.00 degrees
Space group R3m (No. 160, hexagonal axes)
Inequivalent atoms, fractional coordinates:
Nd (0.0000, 0.0000, 0.0000)
Ho (0.0000, 0.0000, 0.5529)
C (0.0000, 0.0000, 0.2704)
I (0.0000, 0.0000, 0.7802)